The following is a computed X-ray powder pattern of LaDyO3. It was derived from a structure optimized by DFT (GGA-PBE), using Cu Kα (λ = 1.5418 Å).

Atomic structure:
```
LaDyO3
1.0
6.128 0.000 0.000
0.000 5.942 0.000
0.000 0.000 8.577
La Dy O
4 4 12
Direct
0.044 0.010 0.000
0.456 0.510 0.500
0.544 0.490 0.000
0.956 0.990 0.500
0.005 0.500 0.745
0.495 0.000 0.245
0.505 0.000 0.745
0.995 0.500 0.245
0.064 0.373 0.493
0.173 0.823 0.302
0.202 0.807 0.670
0.298 0.307 0.170
0.327 0.323 0.802
0.436 0.873 0.993
0.564 0.127 0.493
0.673 0.677 0.302
0.702 0.693 0.670
0.798 0.193 0.170
0.827 0.177 0.802
0.936 0.627 0.993
```

Main lines, most intense first (10° ≤ 2θ ≤ 90°):
2θ/deg  I (rel.)  (hkl)
29.54  100  1 1 2
53.08  24  1 3 2
29.15  24  2 0 0
30.08  23  0 2 0
42.38  21  2 2 0
51.92  18  3 1 2
61.30  12  2 2 4
42.14  12  0 0 4
52.64  12  0 2 4
52.06  11  2 0 4
69.33  9  1 1 6
84.26  7  3 1 6